Starting from a crystal structure in Alexandria, relaxed with PBE, the X-ray diffraction stick pattern of CsZnSbTeHO was simulated for λ = 1.5418 Å (Cu Kα).

Structure:
Lattice parameters (Å, degrees): 3.999 5.711 8.025 110.43 104.08 90.20
Space group P1 (No. 1)
Symmetry-distinct sites (fractional):
1 Cs 0.000 0.000 0.000 [1 per cell]
2 Zn 0.635 0.634 0.271 [1 per cell]
3 Sb 0.759 0.195 0.535 [1 per cell]
4 Te 0.256 0.609 0.517 [1 per cell]
5 H 0.537 0.429 0.067 [1 per cell]
6 O 0.632 0.981 0.271 [1 per cell]

Principal peaks in the range 10° ≤ 2θ ≤ 80°, most intense first:
- 29.88°, d = 2.990 Å, intensity 100, (1 -1 1)
- 30.06°, d = 2.973 Å, intensity 41, (1 1 -2)
- 12.19°, d = 7.260 Å, intensity 41, (0 0 1)
- 24.52°, d = 3.630 Å, intensity 38, (0 0 2)
- 24.02°, d = 3.704 Å, intensity 35, (0 1 1)
- 31.33°, d = 2.855 Å, intensity 27, (0 2 -1)
- 46.64°, d = 1.947 Å, intensity 20, (-1 1 3)
- 27.23°, d = 3.275 Å, intensity 20, (1 1 -1)
- 45.35°, d = 2.000 Å, intensity 19, (2 0 -1)
- 16.71°, d = 5.306 Å, intensity 19, (0 1 -1)
- 46.50°, d = 1.953 Å, intensity 16, (1 1 2)
- 33.65°, d = 2.663 Å, intensity 16, (0 2 0)